1.
This entry pairs a crystal structure of La2AlOs2 with its simulated PXRD pattern. Radiation: Cu Ka. Structure: the GGA-PBE geometry in OQMD.

The 10 most intense peaks (15° ≤ 2θ ≤ 90°), low angle first:
- 2θ 19.8, d 4.492, intensity 61.0
- 2θ 22.9, d 3.878, intensity 39.9
- 2θ 32.7, d 2.736, intensity 33.8
- 2θ 33.2, d 2.696, intensity 36.8
- 2θ 36.2, d 2.481, intensity 100.0
- 2θ 36.9, d 2.436, intensity 50.5
- 2θ 37.2, d 2.414, intensity 50.1
- 2θ 38.4, d 2.346, intensity 33.1
- 2θ 39.3, d 2.291, intensity 59.4
- 2θ 41.4, d 2.179, intensity 33.9

Atomic structure:
a b c (Å): 5.7973 5.7973 8.0407
angles (deg): 103.16 103.16 60.57
Positions (direct):
La 0.0009 0.2914 0.1450
La 0.2914 0.0009 0.6450
La 0.7086 0.9991 0.3550
La 0.9991 0.7086 0.8550
Al 0.4033 0.5967 0.2500
Al 0.5967 0.4033 0.7500
Os 0.2068 0.5135 0.4834
Os 0.4865 0.7932 0.0166
Os 0.5135 0.2068 0.9834
Os 0.7932 0.4865 0.5166

---

2.
This entry pairs a crystal structure of Tb2GdSn3Pb4 with its simulated PXRD pattern. Radiation: Cu Ka. Structure: the GGA-PBE geometry in OQMD.

The 10 most intense peaks (15° ≤ 2θ ≤ 90°), low angle first:
- 2θ 32.3, d 2.774, intensity 100.0
- 2θ 34.9, d 2.567, intensity 17.5
- 2θ 38.3, d 2.347, intensity 16.6
- 2θ 38.9, d 2.316, intensity 16.0
- 2θ 52.8, d 1.732, intensity 11.0
- 2θ 53.3, d 1.720, intensity 10.7
- 2θ 55.8, d 1.649, intensity 11.4
- 2θ 61.0, d 1.519, intensity 11.2
- 2θ 65.5, d 1.424, intensity 13.5
- 2θ 66.3, d 1.410, intensity 13.1

Atomic structure:
a b c (Å): 13.0494 13.0494 4.6322
angles (deg): 90.00 90.00 159.27
Positions (direct):
Tb 0.1865 0.8135 0.0000
Tb 0.8135 0.1865 0.0000
Gd 0.0000 0.0000 0.0000
Sn 0.0965 0.9035 0.5000
Sn 0.5000 0.5000 0.5000
Sn 0.9035 0.0965 0.5000
Pb 0.2938 0.7062 0.5000
Pb 0.4038 0.5962 0.0000
Pb 0.5962 0.4038 0.0000
Pb 0.7062 0.2938 0.5000

---

3.
This entry pairs a crystal structure of Y3Zn4 with its simulated PXRD pattern. Radiation: Cu Ka. Structure: the GGA-PBE geometry in OQMD.

The 10 most intense peaks (15° ≤ 2θ ≤ 90°), low angle first:
- 2θ 28.1, d 3.174, intensity 8.6
- 2θ 31.1, d 2.878, intensity 31.5
- 2θ 36.9, d 2.438, intensity 100.0
- 2θ 39.3, d 2.294, intensity 23.2
- 2θ 47.4, d 1.918, intensity 7.0
- 2θ 50.9, d 1.794, intensity 15.2
- 2θ 55.3, d 1.661, intensity 14.6
- 2θ 68.3, d 1.373, intensity 7.9
- 2θ 69.6, d 1.350, intensity 14.3
- 2θ 69.9, d 1.346, intensity 13.9

Atomic structure:
a b c (Å): 8.7915 8.7915 4.5871
angles (deg): 90.00 90.00 120.00
Positions (direct):
Y 0.1007 0.4391 0.2500
Y 0.3384 0.8993 0.2500
Y 0.4391 0.3384 0.7500
Y 0.5609 0.6616 0.2500
Y 0.6616 0.1007 0.7500
Y 0.8993 0.5609 0.7500
Zn 0.0376 0.2023 0.7500
Zn 0.1647 0.9624 0.7500
Zn 0.2023 0.1647 0.2500
Zn 0.3333 0.6667 0.7500
Zn 0.6667 0.3333 0.2500
Zn 0.7977 0.8353 0.7500
Zn 0.8353 0.0376 0.2500
Zn 0.9624 0.7977 0.2500

---

4.
This entry pairs a crystal structure of PdS2Br4Cl2 with its simulated PXRD pattern. Radiation: Cu Ka. Structure: the GGA-PBE geometry in OQMD.

The 10 most intense peaks (15° ≤ 2θ ≤ 90°), low angle first:
- 2θ 19.4, d 4.582, intensity 60.8
- 2θ 20.6, d 4.311, intensity 69.4
- 2θ 22.4, d 3.976, intensity 40.8
- 2θ 24.4, d 3.643, intensity 72.4
- 2θ 25.8, d 3.459, intensity 29.8
- 2θ 27.8, d 3.212, intensity 76.4
- 2θ 29.2, d 3.060, intensity 23.6
- 2θ 31.0, d 2.888, intensity 55.9
- 2θ 31.3, d 2.861, intensity 100.0
- 2θ 35.2, d 2.547, intensity 63.5

Atomic structure:
a b c (Å): 4.6472 7.0237 8.6797
angles (deg): 103.74 97.98 93.29
Positions (direct):
Pd 0.0000 0.0000 0.0000
S 0.2897 0.2313 0.2064
S 0.7103 0.7687 0.7936
Br 0.0613 0.5034 0.2087
Br 0.2555 0.1806 0.4451
Br 0.7445 0.8194 0.5549
Br 0.9387 0.4966 0.7913
Cl 0.2715 0.1486 0.8453
Cl 0.7285 0.8514 0.1547